1.
For PbBrO, the PBE geometry in the Materials Project gives the theoretical PXRD pattern in this record (Cu Kα X-rays).
Lines closer than 0.1° are merged.

Structure:
Lattice parameters (Å, degrees): 7.173 3.967 9.785 90.00 90.00 90.00
Element x y z (fractional)
Pb 0.185 0.250 0.071
Pb 0.315 0.750 0.571
Pb 0.685 0.250 0.429
Pb 0.815 0.750 0.929
Br 0.039 0.750 0.326
Br 0.461 0.250 0.826
Br 0.539 0.750 0.174
Br 0.961 0.250 0.674
O 0.124 0.750 0.969
O 0.376 0.250 0.469
O 0.624 0.750 0.531
O 0.876 0.250 0.031

Largest 6 diffraction maxima, by angle, 10 to 80 degrees two-theta:
d/Å	I_rel
4.042	46
3.272	100
2.831	44
2.520	43
2.323	33
1.571	37

***

2.
For Pb3BrO3, the PBE geometry in the Materials Project gives the theoretical PXRD pattern in this record (Cu Kα X-rays).
Lines closer than 0.1° are merged.

Structure:
Lattice parameters (Å, degrees): 5.944 7.106 16.429 90.00 90.00 90.00
Element x y z (fractional)
Pb 0.000 0.023 0.000
Pb 0.000 0.175 0.244
Pb 0.000 0.308 0.676
Pb 0.000 0.692 0.176
Pb 0.000 0.825 0.744
Pb 0.000 0.977 0.500
Pb 0.500 0.025 0.645
Pb 0.500 0.209 0.847
Pb 0.500 0.312 0.473
Pb 0.500 0.688 0.973
Pb 0.500 0.791 0.347
Pb 0.500 0.975 0.145
Br 0.000 0.442 0.896
Br 0.000 0.558 0.396
Br 0.500 0.358 0.171
Br 0.500 0.642 0.671
O 0.000 0.171 0.113
O 0.000 0.829 0.613
O 0.257 0.086 0.741
O 0.257 0.914 0.241
O 0.259 0.190 0.574
O 0.259 0.810 0.074
O 0.500 0.017 0.434
O 0.500 0.983 0.934
O 0.741 0.190 0.574
O 0.741 0.810 0.074
O 0.743 0.086 0.741
O 0.743 0.914 0.241

Largest 6 diffraction maxima, by angle, 10 to 80 degrees two-theta:
d/Å	I_rel
3.504	100
3.052	80
2.999	58
2.972	84
2.859	100
1.694	44

***

3.
For Pb9Br10O4, the PBE geometry in the Materials Project gives the theoretical PXRD pattern in this record (Cu Kα X-rays).
Lines closer than 0.1° are merged.

Structure:
Lattice parameters (Å, degrees): 12.562 12.562 8.648 90.00 90.00 90.00
Element x y z (fractional)
Pb 0.010 0.674 0.194
Pb 0.112 0.699 0.644
Pb 0.174 0.990 0.806
Pb 0.199 0.888 0.356
Pb 0.250 0.250 0.200
Pb 0.301 0.612 0.356
Pb 0.326 0.510 0.806
Pb 0.388 0.801 0.644
Pb 0.490 0.826 0.194
Pb 0.510 0.174 0.806
Pb 0.612 0.199 0.356
Pb 0.674 0.490 0.194
Pb 0.699 0.388 0.644
Pb 0.750 0.750 0.800
Pb 0.801 0.112 0.644
Pb 0.826 0.010 0.194
Pb 0.888 0.301 0.356
Pb 0.990 0.326 0.806
Br 0.042 0.125 0.129
Br 0.062 0.129 0.592
Br 0.125 0.458 0.129
Br 0.129 0.438 0.592
Br 0.250 0.250 0.880
Br 0.250 0.750 0.000
Br 0.371 0.062 0.592
Br 0.375 0.042 0.129
Br 0.438 0.371 0.592
Br 0.458 0.375 0.129
Br 0.542 0.625 0.871
Br 0.562 0.629 0.408
Br 0.625 0.958 0.871
Br 0.629 0.938 0.408
Br 0.750 0.250 0.000
Br 0.750 0.750 0.120
Br 0.871 0.562 0.408
Br 0.875 0.542 0.871
Br 0.938 0.871 0.408
Br 0.958 0.875 0.871
O 0.140 0.706 0.376
O 0.206 0.860 0.624
O 0.294 0.640 0.624
O 0.360 0.794 0.376
O 0.640 0.206 0.624
O 0.706 0.360 0.376
O 0.794 0.140 0.376
O 0.860 0.294 0.624

Largest 6 diffraction maxima, by angle, 10 to 80 degrees two-theta:
d/Å	I_rel
3.427	100
3.232	79
3.008	67
2.958	48
2.925	52
2.809	70

***

4.
For SbPbBrO2, the PBE geometry in the Materials Project gives the theoretical PXRD pattern in this record (Cu Kα X-rays).
Lines closer than 0.1° are merged.

Structure:
Lattice parameters (Å, degrees): 7.071 7.071 7.071 147.71 147.71 46.31
Element x y z (fractional)
Sb 0.000 0.000 0.000
Pb 0.310 0.310 0.000
Br 0.669 0.669 0.000
O 0.426 0.926 0.500
O 0.926 0.426 0.500

Largest 6 diffraction maxima, by angle, 10 to 80 degrees two-theta:
d/Å	I_rel
3.764	16
2.912	100
2.780	39
1.966	20
1.709	20
1.629	36

***

5.
For SbPbBrO2, the PBE geometry in the Materials Project gives the theoretical PXRD pattern in this record (Cu Kα X-rays).
Lines closer than 0.1° are merged.

Structure:
Lattice parameters (Å, degrees): 7.074 7.074 5.570 90.00 90.00 131.97
Element x y z (fractional)
Sb 0.075 0.925 0.750
Sb 0.925 0.075 0.250
Pb 0.388 0.612 0.750
Pb 0.612 0.388 0.250
Br 0.255 0.745 0.250
Br 0.745 0.255 0.750
O 0.225 0.225 0.000
O 0.225 0.225 0.500
O 0.775 0.775 0.000
O 0.775 0.775 0.500

Largest 6 diffraction maxima, by angle, 10 to 80 degrees two-theta:
d/Å	I_rel
2.932	100
2.879	24
2.785	21
2.002	23
1.672	19
1.635	18

***

6.
For Pb3Se2Br2O6, the PBE geometry in the Materials Project gives the theoretical PXRD pattern in this record (Cu Kα X-rays).
Lines closer than 0.1° are merged.

Structure:
Lattice parameters (Å, degrees): 7.403 7.403 13.654 93.23 93.23 45.56
Element x y z (fractional)
Pb 0.054 0.946 0.750
Pb 0.281 0.306 0.147
Pb 0.306 0.281 0.647
Pb 0.694 0.719 0.353
Pb 0.719 0.694 0.853
Pb 0.946 0.054 0.250
Se 0.391 0.396 0.382
Se 0.396 0.391 0.882
Se 0.604 0.609 0.118
Se 0.609 0.604 0.618
Br 0.133 0.152 0.943
Br 0.152 0.133 0.443
Br 0.848 0.867 0.557
Br 0.867 0.848 0.057
O 0.120 0.567 0.805
O 0.123 0.595 0.303
O 0.405 0.877 0.197
O 0.433 0.880 0.695
O 0.443 0.529 0.635
O 0.471 0.557 0.865
O 0.529 0.443 0.135
O 0.557 0.471 0.365
O 0.567 0.120 0.305
O 0.595 0.123 0.803
O 0.877 0.405 0.697
O 0.880 0.433 0.195

Largest 6 diffraction maxima, by angle, 10 to 80 degrees two-theta:
d/Å	I_rel
6.814	29
3.219	100
2.975	50
2.867	39
2.833	66
2.064	36

***

7.
For SiPb4Br4O4, the PBE geometry in the Materials Project gives the theoretical PXRD pattern in this record (Cu Kα X-rays).
Lines closer than 0.1° are merged.

Structure:
Lattice parameters (Å, degrees): 9.195 16.501 8.575 90.00 92.13 90.00
Element x y z (fractional)
Si 0.131 0.149 0.142
Si 0.131 0.351 0.642
Si 0.869 0.649 0.358
Si 0.869 0.851 0.858
Pb 0.060 0.703 0.014
Pb 0.060 0.797 0.514
Pb 0.150 0.535 0.357
Pb 0.150 0.965 0.857
Pb 0.332 0.017 0.303
Pb 0.332 0.483 0.803
Pb 0.380 0.244 0.921
Pb 0.380 0.256 0.421
Pb 0.620 0.744 0.579
Pb 0.620 0.756 0.079
Pb 0.668 0.517 0.197
Pb 0.668 0.983 0.697
Pb 0.850 0.035 0.143
Pb 0.850 0.465 0.643
Pb 0.940 0.203 0.486
Pb 0.940 0.297 0.986
Br 0.000 0.000 0.500
Br 0.000 0.500 0.000
Br 0.225 0.652 0.634
Br 0.225 0.848 0.134
Br 0.321 0.122 0.661
Br 0.321 0.378 0.161
Br 0.371 0.612 0.116
Br 0.371 0.888 0.616
Br 0.500 0.000 0.000
Br 0.500 0.500 0.500
Br 0.629 0.112 0.384
Br 0.629 0.388 0.884
Br 0.679 0.622 0.839
Br 0.679 0.878 0.339
Br 0.775 0.152 0.866
Br 0.775 0.348 0.366
O 0.023 0.672 0.276
O 0.023 0.828 0.776
O 0.122 0.051 0.101
O 0.122 0.449 0.601
O 0.146 0.209 0.989
O 0.146 0.291 0.489
O 0.278 0.158 0.258
O 0.278 0.342 0.758
O 0.722 0.658 0.242
O 0.722 0.842 0.742
O 0.854 0.709 0.511
O 0.854 0.791 0.011
O 0.878 0.551 0.399
O 0.878 0.949 0.899
O 0.977 0.172 0.224
O 0.977 0.328 0.724

Largest 6 diffraction maxima, by angle, 10 to 80 degrees two-theta:
d/Å	I_rel
4.426	100
3.802	74
3.229	89
2.877	87
2.807	94
2.719	74

***

8.
For Te2Pb3Br2O6, the PBE geometry in the Materials Project gives the theoretical PXRD pattern in this record (Cu Kα X-rays).
Lines closer than 0.1° are merged.

Structure:
Lattice parameters (Å, degrees): 9.088 9.088 11.256 104.23 104.23 37.04
Element x y z (fractional)
Te 0.101 0.101 0.052
Te 0.370 0.370 0.415
Te 0.630 0.630 0.585
Te 0.899 0.899 0.948
Pb 0.165 0.165 0.390
Pb 0.240 0.240 0.791
Pb 0.474 0.474 0.802
Pb 0.526 0.526 0.198
Pb 0.760 0.760 0.209
Pb 0.835 0.835 0.610
Br 0.040 0.040 0.690
Br 0.318 0.318 0.100
Br 0.682 0.682 0.900
Br 0.960 0.960 0.310
O 0.052 0.528 0.388
O 0.099 0.637 0.817
O 0.213 0.787 0.000
O 0.363 0.901 0.183
O 0.389 0.389 0.588
O 0.472 0.948 0.612
O 0.528 0.052 0.388
O 0.611 0.611 0.412
O 0.637 0.099 0.817
O 0.787 0.213 0.000
O 0.901 0.363 0.183
O 0.948 0.472 0.612

Largest 6 diffraction maxima, by angle, 10 to 80 degrees two-theta:
d/Å	I_rel
3.696	19
3.144	73
2.957	100
2.887	35
2.065	29
1.680	16

***

9.
For TlPb8Br9O4, the PBE geometry in the Materials Project gives the theoretical PXRD pattern in this record (Cu Kα X-rays).
Lines closer than 0.1° are merged.

Structure:
Lattice parameters (Å, degrees): 12.601 12.601 8.405 90.00 90.00 90.00
Element x y z (fractional)
Tl 0.250 0.250 0.168
Tl 0.750 0.750 0.832
Pb 0.018 0.666 0.323
Pb 0.113 0.695 0.854
Pb 0.166 0.982 0.677
Pb 0.195 0.887 0.146
Pb 0.305 0.613 0.146
Pb 0.334 0.518 0.677
Pb 0.387 0.805 0.854
Pb 0.482 0.834 0.323
Pb 0.518 0.166 0.677
Pb 0.613 0.195 0.146
Pb 0.666 0.482 0.323
Pb 0.695 0.387 0.854
Pb 0.805 0.113 0.854
Pb 0.834 0.018 0.323
Pb 0.887 0.305 0.146
Pb 0.982 0.334 0.677
Br 0.038 0.132 0.386
Br 0.068 0.130 0.901
Br 0.130 0.432 0.901
Br 0.132 0.462 0.386
Br 0.250 0.750 0.500
Br 0.368 0.038 0.386
Br 0.370 0.068 0.901
Br 0.432 0.370 0.901
Br 0.462 0.368 0.386
Br 0.538 0.632 0.614
Br 0.568 0.630 0.099
Br 0.630 0.932 0.099
Br 0.632 0.962 0.614
Br 0.750 0.250 0.500
Br 0.868 0.538 0.614
Br 0.870 0.568 0.099
Br 0.932 0.870 0.099
Br 0.962 0.868 0.614
O 0.142 0.704 0.128
O 0.204 0.858 0.872
O 0.296 0.642 0.872
O 0.358 0.796 0.128
O 0.642 0.204 0.872
O 0.704 0.358 0.128
O 0.796 0.142 0.128
O 0.858 0.296 0.872

Largest 6 diffraction maxima, by angle, 10 to 80 degrees two-theta:
d/Å	I_rel
3.369	97
3.227	61
2.971	100
2.892	39
2.818	70
2.472	48